Structure and calculated powder diffractogram of Hg3Te2Cl2 (DFT lattice parameters and positions (GGA-PBE); copper Kα).

Cell and atoms:
```
data_Hg3Te2Cl2
_space_group_name_H-M_alt 'I 21 3'
_space_group_IT_number 199
_space_group_name_Hall 'I 2b 2c 3'
_cell_length_a 9.6567
_cell_length_b 9.6567
_cell_length_c 9.6567
_cell_angle_alpha 90.00
_cell_angle_beta 90.00
_cell_angle_gamma 90.00
loop_
_atom_site_label
_atom_site_type_symbol
_atom_site_fract_x
_atom_site_fract_y
_atom_site_fract_z
Hg1 Hg 0.0000 0.2500 0.9327
Te1 Te 0.0287 0.4713 0.5287
Cl1 Cl 0.2406 0.2406 0.2406
```

The 6 most intense peaks (2θ = 10–80°), low angle first:
Position (°2θ)  I/Imax  h k l
18.38  491  2 0 0
22.55  947  2 1 1
29.25  1000  3 1 0
34.76  403  3 2 1
37.25  406  4 0 0
48.04  741  4 3 1